[1]
Sc3Tl: theoretical X-ray diffraction stick pattern (copper Kα), based on a crystal structure in the Materials Project, relaxed with PBE.
Lines closer than 0.1° are merged.

Principal peaks in the range 2θ from 10° to 80°, by angle:
2θ/deg, intensity, (hkl)
15.91, 27, 1 0 0
23.20, 65, 1 0 1
27.75, 29, 1 1 0
32.15, 24, 2 0 0
33.91, 27, 0 0 2
36.47, 100, 2 0 1
46.43, 23, 2 1 1
57.31, 17, 2 2 0
62.36, 20, 2 0 3
68.28, 20, 2 2 2

Atomic structure:
```
data_Sc3Tl
_symmetry_space_group_name_H-M 'P 63/m m c'
_symmetry_Int_Tables_number 194
_symmetry_space_group_name_Hall '-P 6c 2c'
_cell_length_a 6.4306
_cell_length_b 6.4306
_cell_length_c 5.2868
_cell_angle_alpha 90.00
_cell_angle_beta 90.00
_cell_angle_gamma 120.00
loop_
_atom_site_label
_atom_site_fract_x
_atom_site_fract_y
_atom_site_fract_z
Sc1 0.1682 0.3363 0.2500
Tl1 0.3333 0.6667 0.7500
```

=====

[2]
Sc2TlZn: theoretical X-ray diffraction stick pattern (copper Kα), based on a crystal structure in the Materials Project, relaxed with PBE.
Lines closer than 0.1° are merged.

Principal peaks in the range 2θ from 10° to 80°, by angle:
2θ/deg, intensity, (hkl)
22.05, 29, 1 1 1
25.52, 31, 2 0 0
36.40, 100, 2 2 0
42.96, 16, 3 1 1
44.98, 10, 2 2 2
52.42, 17, 4 0 0
57.54, 7, 3 3 1
59.18, 13, 4 2 0
65.49, 34, 4 2 2
77.30, 11, 4 4 0

Atomic structure:
```
data_Sc2TlZn
_symmetry_space_group_name_H-M 'F m -3 m'
_symmetry_Int_Tables_number 225
_symmetry_space_group_name_Hall '-F 4 2 3'
_cell_length_a 6.9821
_cell_length_b 6.9821
_cell_length_c 6.9821
_cell_angle_alpha 90.00
_cell_angle_beta 90.00
_cell_angle_gamma 90.00
loop_
_atom_site_label
_atom_site_fract_x
_atom_site_fract_y
_atom_site_fract_z
Sc1 0.2500 0.2500 0.2500
Tl1 0.0000 0.0000 0.0000
Zn1 0.0000 0.0000 0.5000
```

=====

[3]
YSc: theoretical X-ray diffraction stick pattern (copper Kα), based on a crystal structure in the Materials Project, relaxed with PBE.
Lines closer than 0.1° are merged.

Principal peaks in the range 2θ from 10° to 80°, by angle:
2θ/deg, intensity, (hkl)
16.12, 15, 0 0 1
29.65, 31, 1 0 0
32.57, 24, 0 0 2
33.93, 100, 1 0 1
44.62, 20, 1 0 2
52.61, 17, 1 1 0
58.99, 19, 1 0 3
63.26, 19, 1 1 2
64.09, 14, 2 0 1
71.39, 5, 2 0 2

Atomic structure:
```
data_YSc
_symmetry_space_group_name_H-M 'P -6 m 2'
_symmetry_Int_Tables_number 187
_symmetry_space_group_name_Hall 'P -6 2'
_cell_length_a 3.4793
_cell_length_b 3.4793
_cell_length_c 5.4982
_cell_angle_alpha 90.00
_cell_angle_beta 90.00
_cell_angle_gamma 120.00
loop_
_atom_site_label
_atom_site_fract_x
_atom_site_fract_y
_atom_site_fract_z
Y1 0.0000 0.0000 0.0000
Sc1 0.3333 0.6667 0.5000
```

=====

[4]
YScZn2: theoretical X-ray diffraction stick pattern (copper Kα), based on a crystal structure in the Materials Project, relaxed with PBE.
Lines closer than 0.1° are merged.

Principal peaks in the range 2θ from 10° to 80°, by angle:
2θ/deg, intensity, (hkl)
22.13, 7, 1 1 1
36.52, 100, 2 2 0
43.11, 3, 3 1 1
52.61, 17, 4 0 0
57.75, 2, 3 3 1
65.74, 33, 4 2 2
70.29, 1, 5 1 1
77.61, 10, 4 4 0

Atomic structure:
```
data_YScZn2
_symmetry_space_group_name_H-M 'F m -3 m'
_symmetry_Int_Tables_number 225
_symmetry_space_group_name_Hall '-F 4 2 3'
_cell_length_a 6.9588
_cell_length_b 6.9588
_cell_length_c 6.9588
_cell_angle_alpha 90.00
_cell_angle_beta 90.00
_cell_angle_gamma 90.00
loop_
_atom_site_label
_atom_site_fract_x
_atom_site_fract_y
_atom_site_fract_z
Y1 0.0000 0.0000 0.0000
Sc1 0.0000 0.0000 0.5000
Zn1 0.2500 0.2500 0.2500
```

=====

[5]
ScZn3: theoretical X-ray diffraction stick pattern (copper Kα), based on a crystal structure in the Materials Project, relaxed with PBE.
Lines closer than 0.1° are merged.

Principal peaks in the range 2θ from 10° to 80°, by angle:
2θ/deg, intensity, (hkl)
24.14, 2, 1 1 1
27.94, 1, 2 0 0
39.93, 100, 2 2 0
47.20, 1, 3 1 1
57.74, 16, 4 0 0
63.49, 1, 3 3 1
65.34, 1, 4 2 0
72.50, 31, 4 2 2

Atomic structure:
```
data_ScZn3
_symmetry_space_group_name_H-M 'F m -3 m'
_symmetry_Int_Tables_number 225
_symmetry_space_group_name_Hall '-F 4 2 3'
_cell_length_a 6.3868
_cell_length_b 6.3868
_cell_length_c 6.3868
_cell_angle_alpha 90.00
_cell_angle_beta 90.00
_cell_angle_gamma 90.00
loop_
_atom_site_label
_atom_site_fract_x
_atom_site_fract_y
_atom_site_fract_z
Sc1 0.0000 0.0000 0.0000
Zn1 0.0000 0.0000 0.5000
Zn2 0.2500 0.2500 0.2500
```

=====

[6]
ScZn2: theoretical X-ray diffraction stick pattern (copper Kα), based on a crystal structure in the Materials Project, relaxed with PBE.
Lines closer than 0.1° are merged.

Principal peaks in the range 2θ from 10° to 80°, by angle:
2θ/deg, intensity, (hkl)
19.41, 22, 1 0 0
37.36, 52, 1 0 3
40.22, 97, 1 1 2
40.87, 100, 2 0 1
42.59, 27, 0 0 4
45.03, 36, 2 0 2
63.01, 17, 2 1 3
65.00, 21, 3 0 2
68.86, 28, 2 0 5
71.45, 26, 2 2 0

Atomic structure:
```
data_ScZn2
_symmetry_space_group_name_H-M 'P 63/m m c'
_symmetry_Int_Tables_number 194
_symmetry_space_group_name_Hall '-P 6c 2c'
_cell_length_a 5.2812
_cell_length_b 5.2812
_cell_length_c 8.4916
_cell_angle_alpha 90.00
_cell_angle_beta 90.00
_cell_angle_gamma 120.00
loop_
_atom_site_label
_atom_site_fract_x
_atom_site_fract_y
_atom_site_fract_z
Sc1 0.3333 0.6667 0.0615
Zn1 0.0000 0.0000 0.0000
Zn2 0.1711 0.3421 0.7500
```

=====

[7]
ScZn3: theoretical X-ray diffraction stick pattern (copper Kα), based on a crystal structure in the Materials Project, relaxed with PBE.
Lines closer than 0.1° are merged.

Principal peaks in the range 2θ from 10° to 80°, by angle:
2θ/deg, intensity, (hkl)
17.33, 5, 1 0 0
35.08, 26, 2 0 0
40.82, 100, 2 0 1
41.08, 22, 0 0 2
51.64, 3, 2 1 1
55.10, 13, 2 0 2
62.93, 17, 2 2 0
74.68, 15, 2 0 3
77.77, 13, 4 0 1
77.95, 17, 2 2 2

Atomic structure:
```
data_ScZn3
_symmetry_space_group_name_H-M 'P 63/m m c'
_symmetry_Int_Tables_number 194
_symmetry_space_group_name_Hall '-P 6c 2c'
_cell_length_a 5.9074
_cell_length_b 5.9074
_cell_length_c 4.3941
_cell_angle_alpha 90.00
_cell_angle_beta 90.00
_cell_angle_gamma 120.00
loop_
_atom_site_label
_atom_site_fract_x
_atom_site_fract_y
_atom_site_fract_z
Sc1 0.3333 0.6667 0.2500
Zn1 0.1592 0.3183 0.7500
```